Th6PdRu2Se3: calculated powder XRD pattern (copper Kα), based on a GGA-PBE-relaxed structure.
Kinematic intensities with the Lorentz-polarization factor, no thermal factor.

```
data_Th6PdRu2Se3
_chemical_formula_sum 'Th12 Pd2 Ru4 Se6'
_cell_length_a 18.887
_cell_length_b 4.117
_cell_length_c 8.774
_cell_angle_alpha 90.00
_cell_angle_beta 108.26
_cell_angle_gamma 90.00
_space_group_name_H-M_alt 'C 1 2/m 1'
_space_group_IT_number 12
_space_group_name_Hall '-C 2y'
loop_
_atom_site_label
_atom_site_type_symbol
_atom_site_fract_x
_atom_site_fract_y
_atom_site_fract_z
_atom_site_occupancy
Th1 Th 0.010 0.000 0.244 1
Th2 Th 0.164 0.500 0.108 1
Th3 Th 0.176 0.500 0.565 1
Pd1 Pd 0.000 0.500 0.000 1
Ru1 Ru 0.166 0.000 0.332 1
Se1 Se 0.000 0.500 0.500 1
Se2 Se 0.165 0.000 0.834 1
```

Peak list (8 most intense, 2θ from 15° to 90°, most intense first)
2θ = 29.84°, intensity 100, hkl 1 1 -2; 2θ = 44.00°, intensity 36, hkl 0 2 0; 2θ = 41.37°, intensity 36, hkl 2 0 -4; 2θ = 26.27°, intensity 23, hkl 3 1 0; 2θ = 54.09°, intensity 13, hkl 6 2 0; 2θ = 72.13°, intensity 11, hkl 1 3 -2; 2θ = 24.18°, intensity 7, hkl 4 0 -2; 2θ = 61.92°, intensity 7, hkl 2 2 -4